# 1
Structure and simulated X-ray powder pattern of InPd2Pb3 (a cell relaxed with GGA-PBE; a wavelength of 1.5418 Å).

Peak list (12 most intense, 5° ≤ 2θ ≤ 70°, in order of rising 2θ)
Position (°2θ)  I_rel
30.51  24
32.57  86
32.91  100
35.65  29
40.35  52
41.08  29
41.49  28
55.54  19
55.76  23
56.91  22
62.36  20
65.08  18

Crystal structure
```
InPd2Pb3
1.0
0.0000 4.8519 4.9294
2.9300 0.0000 4.9294
2.9300 4.8519 0.0000
In Pd Pb
1 2 3
Direct
0.0000 0.0000 0.0000
0.0776 0.0776 0.4224
0.5776 0.5776 0.9224
0.1678 0.4944 0.5056
0.4944 0.1678 0.8322
0.6745 0.6745 0.3255
```

=====

# 2
Structure and simulated X-ray powder pattern of LuZr2 (a cell relaxed with GGA-PBE; a wavelength of 1.5418 Å).

Peak list (12 most intense, 5° ≤ 2θ ≤ 70°, in order of rising 2θ)
Position (°2θ)  I_rel
17.02  6
17.80  3
24.72  6
31.09  27
34.43  24
35.65  100
47.06  17
55.31  18
62.47  19
64.82  3
66.80  20
67.56  15

Crystal structure
```
LuZr2
1.0
5.7532 0.0000 0.0000
-2.8766 4.9825 0.0000
0.0000 0.0000 5.2102
Lu Zr
2 4
Direct
0.3333 0.6667 0.0000
0.6667 0.3333 0.0000
0.0000 0.0000 0.0000
0.0000 0.3199 0.5000
0.3199 0.0000 0.5000
0.6801 0.6801 0.5000
```

=====

# 3
Structure and simulated X-ray powder pattern of Y2Ta2SiGe (a cell relaxed with GGA-PBE; a wavelength of 1.5418 Å).

Peak list (12 most intense, 5° ≤ 2θ ≤ 70°, in order of rising 2θ)
Position (°2θ)  I_rel
11.34  93
22.79  12
31.99  19
33.60  100
34.48  29
39.25  80
45.17  42
46.73  12
47.41  7
57.31  17
58.04  26
65.80  14

Crystal structure
```
Y2Ta2SiGe
1.0
4.0144 0.0000 0.0000
0.0000 4.0144 0.0000
0.0000 0.0000 7.8031
Y Ta Si Ge
2 2 1 1
Direct
0.0000 0.0000 0.0000
0.5000 0.5000 0.2964
0.0000 0.5000 0.6440
0.5000 0.0000 0.6440
0.0000 0.0000 0.4060
0.5000 0.5000 0.8924
```

=====

# 4
Structure and simulated X-ray powder pattern of MgCu2Bi (a cell relaxed with GGA-PBE; a wavelength of 1.5418 Å).

Peak list (12 most intense, 5° ≤ 2θ ≤ 70°, in order of rising 2θ)
Position (°2θ)  I_rel
13.34  20
23.22  16
26.87  10
30.12  39
38.37  100
40.80  15
45.33  8
55.39  16
57.25  14
62.61  8
64.34  8
69.39  29

Crystal structure
```
MgCu2Bi
1.0
6.6354 0.0000 0.0000
0.0000 6.6354 0.0000
0.0000 0.0000 6.6354
Mg Cu Bi
4 8 4
Direct
0.0000 0.0000 0.0000
0.0000 0.0000 0.5000
0.0000 0.5000 0.0000
0.5000 0.0000 0.0000
0.2217 0.2217 0.2217
0.2217 0.2217 0.7783
0.2217 0.7783 0.2217
0.2217 0.7783 0.7783
0.7783 0.2217 0.2217
0.7783 0.2217 0.7783
0.7783 0.7783 0.2217
0.7783 0.7783 0.7783
0.0000 0.5000 0.5000
0.5000 0.0000 0.5000
0.5000 0.5000 0.0000
0.5000 0.5000 0.5000
```